Computed powder XRD pattern of CsRbTcS3 for Cu Kα (λ = 1.5418 Å), from DFT lattice parameters and positions (PBE).
Peak positions follow from Bragg's law for the DFT cell and can differ from measured ones.

Atomic structure:
```
CsRbTcS3
1.0
7.035 0.000 0.000
3.492 6.953 0.000
3.496 0.860 8.029
Cs Rb Tc S
2 2 2 6
Direct
0.188 0.409 0.193
0.812 0.591 0.807
0.413 0.805 0.363
0.587 0.195 0.637
0.114 0.944 0.840
0.886 0.056 0.160
0.115 0.159 0.614
0.248 0.011 0.004
0.309 0.641 0.770
0.691 0.359 0.230
0.752 0.989 0.996
0.885 0.841 0.386
```

Main lines, by intensity (5 to 70 degrees two-theta):
2θ (°)  I/Imax  h k l
24.2  100  1 -1 1
25.3  87  2 1 1
27.0  54  0 2 1
26.8  51  0 1 -2
37.2  38  2 0 3
21.3  35  1 1 2
33.9  30  2 1 -1
41.9  26  0 3 -1
27.3  24  -1 1 1
22.1  22  0 0 2